Computed X-ray powder pattern of Sr3Al2Cu6 for Cu Kα, 1.54184 Å, from a DFT-relaxed cell (GGA-PBE, Alexandria).
Kinematic intensities with the Lorentz-polarization factor, no thermal factor.

Crystal structure
Cell lengths 9.6375, 9.6375, 9.6375 Å; angles 90.00, 90.00, 90.00 degrees
Space group Im-3m (No. 229)
Inequivalent atoms, fractional coordinates:
Sr  0.0000  0.0000  0.2937 [12 per cell]
Al  0.2500  0.2500  0.2500 [8 per cell]
Cu  0.0000  0.3227  0.3227 [24 per cell]

Top 8 peaks for 5 to 70 degrees two-theta, by angle:
d 6.815, 2θ 12.99, intensity 11.9, hkl 1 1 0; d 3.407, 2θ 26.15, intensity 12.2, hkl 2 2 0; d 3.048, 2θ 29.30, intensity 24.1, hkl 3 1 0; d 2.576, 2θ 34.83, intensity 28.9, hkl 3 2 1; d 2.409, 2θ 37.32, intensity 17.4, hkl 4 0 0; d 2.272, 2θ 39.68, intensity 100.0, hkl 3 3 0; d 1.606, 2θ 57.36, intensity 11.2, hkl 6 0 0; d 1.563, 2θ 59.09, intensity 16.8, hkl 5 3 2